Entry 1:
The following is a theoretical powder XRD pattern of La3Ge2Rh6. It was derived from DFT lattice parameters and positions (PBE), using Cu Ka.

Structure:
```
data_La3Ge2Rh6
_chemical_formula_sum 'La12 Ge8 Rh24'
_cell_length_a 9.471
_cell_length_b 9.471
_cell_length_c 9.471
_cell_angle_alpha 90.00
_cell_angle_beta 90.00
_cell_angle_gamma 90.00
_symmetry_space_group_name_H-M 'I m -3 m'
_symmetry_Int_Tables_number 229
_symmetry_space_group_name_Hall '-I 4 2 3'
loop_
_atom_site_label
_atom_site_fract_x
_atom_site_fract_y
_atom_site_fract_z
_atom_site_occupancy
La1 0.000 0.000 0.285 1
Ge1 0.250 0.250 0.250 1
Rh1 0.000 0.346 0.346 1
```

Largest 6 diffraction maxima, most intense first, 15° ≤ 2θ ≤ 90°:
| (hkl) | 2theta | intensity |
| --- | --- | --- |
| 3 3 0 | 40.4 | 100 |
| 3 2 1 | 35.5 | 27 |
| 6 3 3 | 73.5 | 23 |
| 2 2 2 | 32.8 | 23 |
| 7 4 1 | 82.8 | 14 |
| 6 2 2 | 65.4 | 14 |

Entry 2:
The following is a theoretical powder XRD pattern of InCoW2. It was derived from DFT lattice parameters and positions (PBE), using Cu Ka.

Structure:
```
data_InCoW2
_chemical_formula_sum 'In1 Co1 W2'
_cell_length_a 3.176
_cell_length_b 3.176
_cell_length_c 6.341
_cell_angle_alpha 90.00
_cell_angle_beta 90.00
_cell_angle_gamma 90.00
_symmetry_space_group_name_H-M 'P 4 m m'
_symmetry_Int_Tables_number 99
loop_
_symmetry_equiv_pos_as_xyz
'x,y,z'
'-y,x,z'
'-x,-y,z'
'y,-x,z'
'-x,y,z'
'y,x,z'
'x,-y,z'
'-y,-x,z'
loop_
_atom_site_label
_atom_site_fract_x
_atom_site_fract_y
_atom_site_fract_z
_atom_site_occupancy
In1 0.000 0.000 0.000 1
Co1 0.500 0.500 0.749 1
W1 0.000 0.000 0.530 1
W2 0.500 0.500 0.299 1
```

Largest 6 diffraction maxima, most intense first, 15° ≤ 2θ ≤ 90°:
| (hkl) | 2theta | intensity |
| --- | --- | --- |
| 1 1 0 | 40.2 | 100 |
| 2 1 2 | 73.0 | 31 |
| 2 0 0 | 58.1 | 12 |
| 2 2 0 | 86.8 | 10 |
| 1 0 1 | 31.5 | 9 |
| 0 0 3 | 42.7 | 6 |

Entry 3:
The following is a theoretical powder XRD pattern of CaY3Ir. It was derived from DFT lattice parameters and positions (PBE), using Cu Ka.

Structure:
```
data_CaY3Ir
_chemical_formula_sum 'Ca2 Y6 Ir2'
_cell_length_a 3.822
_cell_length_b 7.462
_cell_length_c 11.696
_cell_angle_alpha 73.83
_cell_angle_beta 80.67
_cell_angle_gamma 89.97
_symmetry_space_group_name_H-M 'P -1'
_symmetry_Int_Tables_number 2
loop_
_symmetry_equiv_pos_as_xyz
'x,y,z'
'-x,-y,-z'
loop_
_atom_site_label
_atom_site_fract_x
_atom_site_fract_y
_atom_site_fract_z
_atom_site_occupancy
Ca1 0.073 0.213 0.357 1
Y1 0.301 0.914 0.898 1
Y2 0.307 0.438 0.885 1
Y3 0.432 0.290 0.631 1
Ir1 0.165 0.796 0.172 1
```

Largest 6 diffraction maxima, most intense first, 15° ≤ 2θ ≤ 90°:
| (hkl) | 2theta | intensity |
| --- | --- | --- |
| 1 1 3 | 31.1 | 100 |
| 1 2 1 | 33.7 | 86 |
| 1 2 2 | 34.0 | 85 |
| 0 0 4 | 32.3 | 64 |
| 0 1 -1 | 16.5 | 57 |
| 1 0 4 | 36.9 | 55 |